# 1
Calculated X-ray powder pattern
Compound: Tl2SeCl
Radiation: Cu Kα (λ = 1.5418 Å)
Structure: a DFT-relaxed cell (GGA-PBE, Alexandria)
No peak broadening, texture or thermal motion is included.

Cell and atoms:
Unit cell a=3.4131 b=4.0012 c=8.3544 alpha=90.00 beta=90.08 gamma=90.00
Fractional positions:
Tl 0.9998 0.0000 0.2410
Tl 0.0002 0.0000 0.7590
Se 0.5000 0.5000 0.5000
Cl 0.5000 0.5000 0.0000

Peak list (12 most intense, 10 to 90 degrees two-theta, in order of falling intensity)
Position (°2θ)	d_spacing	intensity	index
30.95	2.889	100	0 1 2
33.92	2.643	78	1 0 2
34.54	2.597	75	1 1 0
21.27	4.177	36	0 0 2
56.55	1.627	35	1 1 4
57.80	1.595	34	1 2 2
22.22	4.001	33	0 1 0
40.92	2.205	29	1 1 2
63.29	1.469	26	2 1 2
26.11	3.413	23	1 0 0
43.32	2.089	19	0 0 4
45.33	2.001	18	0 2 0

---

# 2
Calculated X-ray powder pattern
Compound: AcNd4Si4
Radiation: Cu Kα (λ = 1.5418 Å)
Structure: a DFT-relaxed cell (GGA-PBE, Alexandria)
No peak broadening, texture or thermal motion is included.

Cell and atoms:
Unit cell a=9.6341 b=9.6341 c=5.9400 alpha=90.00 beta=90.00 gamma=90.00
Fractional positions:
Ac 0.2500 0.2500 0.2500
Ac 0.7500 0.7500 0.7500
Nd 0.1047 0.6376 0.1246
Nd 0.1376 0.8953 0.6246
Nd 0.3624 0.6047 0.6246
Nd 0.3953 0.8624 0.1246
Nd 0.6047 0.1376 0.8754
Nd 0.6376 0.3953 0.3754
Nd 0.8624 0.1047 0.3754
Nd 0.8953 0.3624 0.8754
Si 0.0502 0.5841 0.6293
Si 0.0841 0.9498 0.1293
Si 0.4159 0.5502 0.1293
Si 0.4498 0.9159 0.6293
Si 0.5502 0.0841 0.3707
Si 0.5841 0.4498 0.8707
Si 0.9159 0.0502 0.8707
Si 0.9498 0.4159 0.3707

Peak list (12 most intense, 10 to 90 degrees two-theta, in order of falling intensity)
Position (°2θ)	d_spacing	intensity	index
25.54	3.488	100	2 1 1
29.32	3.047	95	1 3 0
31.52	2.838	46	1 0 2
17.54	5.056	38	1 0 1
36.89	2.437	32	2 3 1
30.25	2.955	32	2 2 1
41.41	2.180	30	3 0 2
49.64	1.836	21	1 4 2
33.04	2.711	21	3 1 1
49.75	1.833	20	5 0 1
56.97	1.616	19	4 3 2
53.51	1.713	16	5 2 1